Entry 1:
The following is a simulated X-ray powder pattern of MgP4WO12. It was derived from a DFT-relaxed cell (PBE+U, the Materials Project), using copper Kα.

The 12 most intense peaks (10 to 90 degrees two-theta), low angle first:
2theta  I (rel.)  h k l
13.87  100  1 1 -1
18.69  49  1 1 1
19.85  23  0 0 2
23.02  53  3 1 -1
27.96  17  2 2 -2
29.17  65  0 2 2
29.28  29  3 1 -3
31.57  23  4 0 0
31.82  17  3 1 1
34.97  30  4 2 -2
37.27  20  5 1 -1
42.21  18  1 3 -3

```
data_MgP4WO12
_symmetry_space_group_name_H-M 'C 1 2/c 1'
_symmetry_Int_Tables_number 15
_cell_length_a 13.114
_cell_length_b 8.397
_cell_length_c 10.349
_cell_angle_alpha 90.00
_cell_angle_beta 120.17
_cell_angle_gamma 90.00
loop_
_symmetry_equiv_pos_as_xyz
'x,y,z'
'-x,-y,-z'
'-x,y,-z+1/2'
'x,-y,z+1/2'
'x+1/2,y+1/2,z'
'-x+1/2,-y+1/2,-z'
'-x+1/2,y+1/2,-z+1/2'
'x+1/2,-y+1/2,z+1/2'
loop_
_atom_site_label
_atom_site_type_symbol
_atom_site_fract_x
_atom_site_fract_y
_atom_site_fract_z
Mg1 Mg 0.000 0.043 0.250
P1 P 0.014 0.257 0.983
P2 P 0.186 0.495 0.182
W1 W 0.250 0.250 0.500
O1 O 0.014 0.220 0.396
O2 O 0.030 0.128 0.897
O3 O 0.081 0.381 0.637
O4 O 0.133 0.364 0.052
O5 O 0.213 0.072 0.328
O6 O 0.220 0.428 0.331
```

Entry 2:
The following is a simulated X-ray powder pattern of MgP4W3O14. It was derived from a DFT-relaxed cell (PBE+U, the Materials Project), using copper Kα.

The 12 most intense peaks (10 to 90 degrees two-theta), low angle first:
2theta  I (rel.)  h k l
12.16  90  1 0 0
16.76  60  1 1 0
19.32  87  0 0 2
19.78  45  1 0 -2
22.93  30  1 1 -2
28.18  44  1 1 2
29.14  100  1 2 1
31.08  41  2 1 1
36.33  49  0 3 1
37.46  32  3 1 -1
42.21  42  3 1 -3
46.14  37  0 3 3

```
data_MgP4W3O14
_symmetry_space_group_name_H-M 'P 1 21/c 1'
_symmetry_Int_Tables_number 14
_cell_length_a 7.579
_cell_length_b 7.702
_cell_length_c 9.564
_cell_angle_alpha 90.00
_cell_angle_beta 106.14
_cell_angle_gamma 90.00
loop_
_symmetry_equiv_pos_as_xyz
'x,y,z'
'-x,-y,-z'
'-x,y+1/2,-z+1/2'
'x,-y+1/2,z+1/2'
loop_
_atom_site_label
_atom_site_type_symbol
_atom_site_fract_x
_atom_site_fract_y
_atom_site_fract_z
Mg1 Mg 0.000 0.000 0.000
P1 P 0.081 0.057 0.703
P2 P 0.384 0.725 0.176
W1 W 0.312 0.148 0.479
W2 W 0.500 0.000 0.000
O1 O 0.123 0.513 0.834
O2 O 0.124 0.204 0.607
O3 O 0.134 0.117 0.866
O4 O 0.185 0.615 0.185
O5 O 0.272 0.618 0.586
O6 O 0.455 0.565 0.102
O7 O 0.473 0.718 0.347
```

Copy entry 1 word for word.
The following is a simulated X-ray powder pattern of MgP4WO12. It was derived from a DFT-relaxed cell (PBE+U, the Materials Project), using copper Kα.

The 12 most intense peaks (10 to 90 degrees two-theta), low angle first:
2theta  I (rel.)  h k l
13.87  100  1 1 -1
18.69  49  1 1 1
19.85  23  0 0 2
23.02  53  3 1 -1
27.96  17  2 2 -2
29.17  65  0 2 2
29.28  29  3 1 -3
31.57  23  4 0 0
31.82  17  3 1 1
34.97  30  4 2 -2
37.27  20  5 1 -1
42.21  18  1 3 -3

```
data_MgP4WO12
_symmetry_space_group_name_H-M 'C 1 2/c 1'
_symmetry_Int_Tables_number 15
_cell_length_a 13.114
_cell_length_b 8.397
_cell_length_c 10.349
_cell_angle_alpha 90.00
_cell_angle_beta 120.17
_cell_angle_gamma 90.00
loop_
_symmetry_equiv_pos_as_xyz
'x,y,z'
'-x,-y,-z'
'-x,y,-z+1/2'
'x,-y,z+1/2'
'x+1/2,y+1/2,z'
'-x+1/2,-y+1/2,-z'
'-x+1/2,y+1/2,-z+1/2'
'x+1/2,-y+1/2,z+1/2'
loop_
_atom_site_label
_atom_site_type_symbol
_atom_site_fract_x
_atom_site_fract_y
_atom_site_fract_z
Mg1 Mg 0.000 0.043 0.250
P1 P 0.014 0.257 0.983
P2 P 0.186 0.495 0.182
W1 W 0.250 0.250 0.500
O1 O 0.014 0.220 0.396
O2 O 0.030 0.128 0.897
O3 O 0.081 0.381 0.637
O4 O 0.133 0.364 0.052
O5 O 0.213 0.072 0.328
O6 O 0.220 0.428 0.331
```